PmPu3Hg12: simulated XRD peak list (Cu Kα X-rays), based on a structure optimized by DFT (GGA-PBE).

Peak list (12 most intense, 10 to 90 degrees two-theta, in order of falling intensity)
2θ = 33.01°, rel. 100
2θ = 38.10°, rel. 34
2θ = 65.65°, rel. 28
2θ = 38.70°, rel. 16
2θ = 66.46°, rel. 14
2θ = 69.25°, rel. 12
2θ = 54.98°, rel. 12
2θ = 55.45°, rel. 12
2θ = 55.42°, rel. 12
2θ = 81.56°, rel. 2
2θ = 81.46°, rel. 2
2θ = 83.01°, rel. 2

Cell and atoms:
```
data_PmPu3Hg12
_chemical_formula_sum 'Pm1 Pu3 Hg12'
_symmetry_space_group_name_H-M 'P m m m'
_symmetry_Int_Tables_number 47
_cell_length_a 4.6535
_cell_length_b 4.7212
_cell_length_c 18.9040
_cell_angle_alpha 90.00
_cell_angle_beta 90.00
_cell_angle_gamma 90.00
loop_
_symmetry_equiv_pos_as_xyz
'x,y,z'
'-x,-y,-z'
'-x,-y,z'
'x,y,-z'
'x,-y,-z'
'-x,y,z'
'-x,y,-z'
'x,-y,z'
loop_
_atom_site_label
_atom_site_fract_x
_atom_site_fract_y
_atom_site_fract_z
Pm1 0.0000 0.0000 0.0000
Pu1 0.0000 0.0000 0.2499
Pu2 0.0000 0.0000 0.5000
Hg1 0.0000 0.5000 0.1241
Hg2 0.0000 0.5000 0.3746
Hg3 0.5000 0.0000 0.1243
Hg4 0.5000 0.0000 0.3746
Hg5 0.5000 0.5000 0.0000
Hg6 0.5000 0.5000 0.2476
Hg7 0.5000 0.5000 0.5000
```

=====

Sc4CdCuNi2: simulated XRD peak list (Cu Kα X-rays), based on a structure optimized by DFT (GGA-PBE).

Peak list (12 most intense, 10 to 90 degrees two-theta, in order of falling intensity)
2θ = 38.85°, rel. 100
2θ = 38.59°, rel. 99
2θ = 55.92°, rel. 31
2θ = 70.18°, rel. 30
2θ = 27.12°, rel. 20
2θ = 70.35°, rel. 15
2θ = 69.66°, rel. 14
2θ = 83.40°, rel. 9
2θ = 82.74°, rel. 8
2θ = 23.48°, rel. 5
2θ = 63.05°, rel. 5
2θ = 48.02°, rel. 4

Cell and atoms:
```
data_Sc4CdCuNi2
_chemical_formula_sum 'Sc12 Cd3 Cu3 Ni6'
_symmetry_space_group_name_H-M 'R -3 m'
_symmetry_Int_Tables_number 166
_symmetry_space_group_name_Hall '-R 3 2"'
_cell_length_a 4.6357
_cell_length_b 4.6357
_cell_length_c 22.9311
_cell_angle_alpha 90.00
_cell_angle_beta 90.00
_cell_angle_gamma 120.00
loop_
_atom_site_label
_atom_site_fract_x
_atom_site_fract_y
_atom_site_fract_z
Sc1 0.0000 0.0000 0.1185
Sc2 0.0000 0.0000 0.3700
Cd1 0.0000 0.0000 0.5000
Cu1 0.0000 0.0000 0.0000
Ni1 0.0000 0.0000 0.2482
```

=====

Nd2HoAl2Zn2: simulated XRD peak list (Cu Kα X-rays), based on a structure optimized by DFT (GGA-PBE).

Peak list (12 most intense, 10 to 90 degrees two-theta, in order of falling intensity)
2θ = 34.26°, rel. 100
2θ = 39.87°, rel. 83
2θ = 31.90°, rel. 59
2θ = 22.93°, rel. 51
2θ = 53.56°, rel. 28
2θ = 26.04°, rel. 27
2θ = 64.53°, rel. 26
2θ = 68.81°, rel. 26
2θ = 57.39°, rel. 16
2θ = 51.94°, rel. 15
2θ = 23.58°, rel. 14
2θ = 72.40°, rel. 14

Cell and atoms:
```
data_Nd2HoAl2Zn2
_chemical_formula_sum 'Nd6 Ho3 Al6 Zn6'
_symmetry_space_group_name_H-M 'R -3 m'
_symmetry_Int_Tables_number 166
_symmetry_space_group_name_Hall '-R 3 2"'
_cell_length_a 4.5218
_cell_length_b 4.5218
_cell_length_c 28.1519
_cell_angle_alpha 90.00
_cell_angle_beta 90.00
_cell_angle_gamma 120.00
loop_
_atom_site_label
_atom_site_fract_x
_atom_site_fract_y
_atom_site_fract_z
Nd1 0.0000 0.0000 0.1257
Ho1 0.0000 0.0000 0.0000
Al1 0.0000 0.0000 0.2704
Zn1 0.0000 0.0000 0.3911
```

=====

Ni6MoRh2: simulated XRD peak list (Cu Kα X-rays), based on a structure optimized by DFT (GGA-PBE).

Peak list (12 most intense, 10 to 90 degrees two-theta, in order of falling intensity)
2θ = 43.95°, rel. 100
2θ = 43.57°, rel. 47
2θ = 43.40°, rel. 43
2θ = 44.36°, rel. 42
2θ = 45.05°, rel. 39
2θ = 62.64°, rel. 13
2θ = 38.34°, rel. 11
2θ = 64.31°, rel. 11
2θ = 42.90°, rel. 10
2θ = 80.27°, rel. 9
2θ = 65.19°, rel. 9
2θ = 76.37°, rel. 9

Cell and atoms:
```
data_Ni6MoRh2
_chemical_formula_sum 'Ni24 Mo4 Rh8'
_symmetry_space_group_name_H-M 'C 1 2/c 1'
_symmetry_Int_Tables_number 15
_cell_length_a 6.6351
_cell_length_b 7.1180
_cell_length_c 9.5118
_cell_angle_alpha 90.00
_cell_angle_beta 99.64
_cell_angle_gamma 90.00
loop_
_symmetry_equiv_pos_as_xyz
'x,y,z'
'-x,-y,-z'
'-x,y,-z+1/2'
'x,-y,z+1/2'
'x+1/2,y+1/2,z'
'-x+1/2,-y+1/2,-z'
'-x+1/2,y+1/2,-z+1/2'
'x+1/2,-y+1/2,z+1/2'
loop_
_atom_site_label
_atom_site_fract_x
_atom_site_fract_y
_atom_site_fract_z
Ni1 0.0503 0.1571 0.4941
Ni2 0.1507 0.4768 0.5945
Ni3 0.1615 0.3470 0.3232
Mo1 0.0000 0.0051 0.7500
Rh1 0.1864 0.3145 0.8640
```

=====

Question: What is the formula in the first record?
Answer: PmPu3Hg12